# 1
The following is a theoretical X-ray diffraction stick pattern of Lu2PbS4. It was derived from a cell relaxed with PBE, using Cu Kα (weighted mean of Kα1 and Kα2).
Neutral-atom scattering factors, no anomalous dispersion.

Crystal structure
```
data_Lu2PbS4
_chemical_formula_sum 'Lu8 Pb4 S16'
_space_group_name_H-M_alt 'P n m a'
_space_group_IT_number 62
_cell_length_a 11.9257
_cell_length_b 3.9226
_cell_length_c 14.1811
_cell_angle_alpha 90.00
_cell_angle_beta 90.00
_cell_angle_gamma 90.00
loop_
_space_group_symop_operation_xyz
'x,y,z'
'-x,-y,-z'
'-x+1/2,-y,z+1/2'
'x+1/2,y,-z+1/2'
'x+1/2,-y+1/2,-z+1/2'
'-x+1/2,y+1/2,z+1/2'
'-x,y+1/2,-z'
'x,-y+1/2,z'
loop_
_atom_site_label
_atom_site_fract_x
_atom_site_fract_y
_atom_site_fract_z
_atom_site_occupancy
Lu1 0.0662 0.2500 0.1109 1
Lu2 0.0808 0.2500 0.6002 1
Pb1 0.2415 0.2500 0.3372 1
S1 0.0236 0.7500 0.7153 1
S2 0.0846 0.2500 0.9234 1
S3 0.1281 0.7500 0.4741 1
S4 0.2073 0.7500 0.1706 1
```

Principal peaks in the range 2θ from 10° to 90°, low angle first:
25.1 deg, d 3.545, I 40, (0 0 4)
25.7 deg, d 3.467, I 100, (3 0 2)
27.0 deg, d 3.298, I 54, (1 1 2)
27.2 deg, d 3.277, I 29, (2 1 0)
30.6 deg, d 2.926, I 40, (1 1 3)
37.4 deg, d 2.405, I 51, (2 1 4)
46.3 deg, d 1.960, I 39, (0 2 0)
53.7 deg, d 1.707, I 28, (3 2 2)

---

# 2
The following is a theoretical X-ray diffraction stick pattern of MgO. It was derived from a cell relaxed with PBE, using Cu Kα (weighted mean of Kα1 and Kα2).
Neutral-atom scattering factors, no anomalous dispersion.

Crystal structure
```
data_MgO
_chemical_formula_sum 'Mg4 O4'
_space_group_name_H-M_alt 'P 63 m c'
_space_group_IT_number 186
_space_group_name_Hall 'P 6c -2c'
_cell_length_a 3.2859
_cell_length_b 3.2859
_cell_length_c 10.5031
_cell_angle_alpha 90.00
_cell_angle_beta 90.00
_cell_angle_gamma 120.00
loop_
_atom_site_label
_atom_site_fract_x
_atom_site_fract_y
_atom_site_fract_z
_atom_site_occupancy
Mg1 0.0000 0.0000 0.0000 1
Mg2 0.3333 0.6667 0.2487 1
O1 0.0000 0.0000 0.3084 1
O2 0.3333 0.6667 0.0588 1
```

Principal peaks in the range 2θ from 10° to 90°, low angle first:
31.4 deg, d 2.846, I 27, (1 0 0)
32.6 deg, d 2.747, I 100, (1 0 1)
34.1 deg, d 2.626, I 62, (0 0 4)
35.9 deg, d 2.502, I 56, (1 0 2)
54.3 deg, d 1.690, I 27, (1 0 5)
56.0 deg, d 1.643, I 67, (1 1 0)
62.3 deg, d 1.491, I 42, (1 0 6)
67.2 deg, d 1.393, I 41, (1 1 4)

---

# 3
The following is a theoretical X-ray diffraction stick pattern of CsZnPO4. It was derived from a cell relaxed with PBE, using Cu Kα (weighted mean of Kα1 and Kα2).
Neutral-atom scattering factors, no anomalous dispersion.

Crystal structure
```
data_CsZnPO4
_chemical_formula_sum 'Cs8 Zn8 P8 O32'
_space_group_name_H-M_alt 'P 1 21/c 1'
_space_group_IT_number 14
_cell_length_a 9.3654
_cell_length_b 5.5149
_cell_length_c 18.7699
_cell_angle_alpha 90.00
_cell_angle_beta 90.37
_cell_angle_gamma 90.00
loop_
_space_group_symop_operation_xyz
'x,y,z'
'-x,-y,-z'
'-x,y+1/2,-z+1/2'
'x,-y+1/2,z+1/2'
loop_
_atom_site_label
_atom_site_fract_x
_atom_site_fract_y
_atom_site_fract_z
_atom_site_occupancy
Cs1 0.1896 0.2193 0.2507 1
Cs2 0.2935 0.2424 0.4967 1
Zn1 0.0846 0.7468 0.5878 1
Zn2 0.4125 0.7149 0.3333 1
P1 0.0829 0.7471 0.9034 1
P2 0.4076 0.7179 0.1549 1
O1 0.0153 0.0488 0.6309 1
O2 0.0400 0.5040 0.3698 1
O3 0.0613 0.7482 0.4845 1
O4 0.2409 0.6881 0.8864 1
O5 0.2896 0.6870 0.6034 1
O6 0.3534 0.7390 0.2326 1
O7 0.4400 0.0520 0.6359 1
O8 0.4550 0.1272 0.8564 1
```

Principal peaks in the range 2θ from 10° to 90°, low angle first:
26.7 deg, d 3.340, I 100, (1 1 4)
26.8 deg, d 3.329, I 39, (2 0 -4)
27.0 deg, d 3.304, I 15, (2 0 4)
30.1 deg, d 2.971, I 15, (1 0 -6)
32.5 deg, d 2.757, I 24, (0 2 0)
33.0 deg, d 2.717, I 23, (3 1 0)
44.9 deg, d 2.020, I 12, (1 2 -6)
54.5 deg, d 1.684, I 14, (1 3 4)

---

# 4
The following is a theoretical X-ray diffraction stick pattern of Al4SiPd. It was derived from a cell relaxed with PBE, using Cu Kα (weighted mean of Kα1 and Kα2).
Neutral-atom scattering factors, no anomalous dispersion.

Crystal structure
```
data_Al4SiPd
_chemical_formula_sum 'Al12 Si3 Pd3'
_space_group_name_H-M_alt 'R -3 m'
_space_group_IT_number 166
_space_group_name_Hall '-R 3 2"'
_cell_length_a 4.2449
_cell_length_b 4.2449
_cell_length_c 20.6803
_cell_angle_alpha 90.00
_cell_angle_beta 90.00
_cell_angle_gamma 120.00
loop_
_atom_site_label
_atom_site_fract_x
_atom_site_fract_y
_atom_site_fract_z
_atom_site_occupancy
Al1 0.0000 0.0000 0.1202 1
Al2 0.0000 0.0000 0.3704 1
Si1 0.0000 0.0000 0.5000 1
Pd1 0.0000 0.0000 0.0000 1
```

Principal peaks in the range 2θ from 10° to 90°, low angle first:
12.8 deg, d 6.893, I 63, (0 0 3)
24.6 deg, d 3.619, I 38, (1 0 1)
25.7 deg, d 3.464, I 100, (0 1 2)
25.8 deg, d 3.447, I 33, (0 0 6)
42.6 deg, d 2.122, I 79, (1 1 0)
42.8 deg, d 2.115, I 76, (0 1 8)
50.5 deg, d 1.808, I 45, (2 0 2)
78.1 deg, d 1.224, I 25, (1 2 8)

---

# 5
The following is a theoretical X-ray diffraction stick pattern of Pr4MgRh. It was derived from a cell relaxed with PBE, using Cu Kα (weighted mean of Kα1 and Kα2).
Neutral-atom scattering factors, no anomalous dispersion.

Crystal structure
```
data_Pr4MgRh
_chemical_formula_sum 'Pr64 Mg16 Rh16'
_space_group_name_H-M_alt 'F -4 3 m'
_space_group_IT_number 216
_space_group_name_Hall 'F -4 2 3'
_cell_length_a 14.2686
_cell_length_b 14.2686
_cell_length_c 14.2686
_cell_angle_alpha 90.00
_cell_angle_beta 90.00
_cell_angle_gamma 90.00
loop_
_atom_site_label
_atom_site_fract_x
_atom_site_fract_y
_atom_site_fract_z
_atom_site_occupancy
Pr1 0.0000 0.0000 0.1869 1
Pr2 0.0620 0.2500 0.7500 1
Pr3 0.0968 0.0968 0.4032 1
Mg1 0.1705 0.1705 0.1705 1
Rh1 0.1080 0.1080 0.6080 1
```

Principal peaks in the range 2θ from 10° to 90°, low angle first:
10.7 deg, d 8.238, I 23, (1 1 1)
27.2 deg, d 3.273, I 41, (3 3 1)
30.7 deg, d 2.913, I 53, (4 2 2)
32.6 deg, d 2.746, I 100, (5 1 1)
35.6 deg, d 2.522, I 34, (4 4 0)
54.6 deg, d 1.682, I 51, (6 6 0)
81.8 deg, d 1.177, I 16, (11 5 1)
83.5 deg, d 1.157, I 16, (10 6 4)

---

# 6
The following is a theoretical X-ray diffraction stick pattern of Sc3Te4. It was derived from a cell relaxed with PBE, using Cu Kα (weighted mean of Kα1 and Kα2).
Neutral-atom scattering factors, no anomalous dispersion.

Crystal structure
```
data_Sc3Te4
_chemical_formula_sum 'Sc9 Te12'
_space_group_name_H-M_alt 'R 3 m'
_space_group_IT_number 160
_space_group_name_Hall 'R 3 -2"'
_cell_length_a 4.1569
_cell_length_b 4.1569
_cell_length_c 42.0505
_cell_angle_alpha 90.00
_cell_angle_beta 90.00
_cell_angle_gamma 120.00
loop_
_atom_site_label
_atom_site_fract_x
_atom_site_fract_y
_atom_site_fract_z
_atom_site_occupancy
Sc1 0.0000 0.0000 0.0000 1
Sc2 0.0000 0.0000 0.0870 1
Sc3 0.0000 0.0000 0.5807 1
Te1 0.0000 0.0000 0.2919 1
Te2 0.0000 0.0000 0.4566 1
Te3 0.0000 0.0000 0.7079 1
Te4 0.0000 0.0000 0.8771 1
```

Principal peaks in the range 2θ from 10° to 90°, low angle first:
25.4 deg, d 3.504, I 28, (0 0 12)
26.9 deg, d 3.310, I 80, (0 1 5)
28.9 deg, d 3.088, I 100, (1 0 7)
32.7 deg, d 2.735, I 37, (1 0 10)
43.5 deg, d 2.078, I 61, (1 1 0)
44.4 deg, d 2.039, I 29, (0 1 17)
51.1 deg, d 1.788, I 26, (1 1 12)
70.3 deg, d 1.340, I 26, (1 1 24)

---

# 7
The following is a theoretical X-ray diffraction stick pattern of NaCaCeBiO6. It was derived from a cell relaxed with PBE, using Cu Kα (weighted mean of Kα1 and Kα2).
Neutral-atom scattering factors, no anomalous dispersion.

Crystal structure
```
data_NaCaCeBiO6
_chemical_formula_sum 'Na4 Ca4 Ce4 Bi4 O24'
_space_group_name_H-M_alt 'P n n n'
_space_group_IT_number 48
_cell_length_a 8.4095
_cell_length_b 8.4121
_cell_length_c 8.4274
_cell_angle_alpha 90.00
_cell_angle_beta 90.00
_cell_angle_gamma 90.00
loop_
_space_group_symop_operation_xyz
'x,y,z'
'-x,-y,-z'
'-x+1/2,-y+1/2,z'
'x+1/2,y+1/2,-z'
'x,-y+1/2,-z+1/2'
'-x,y+1/2,z+1/2'
'-x+1/2,y,-z+1/2'
'x+1/2,-y,z+1/2'
loop_
_atom_site_label
_atom_site_fract_x
_atom_site_fract_y
_atom_site_fract_z
_atom_site_occupancy
Na1 0.2500 0.2500 0.2500 1
Na2 0.2500 0.7500 0.2500 1
Ca1 0.2500 0.2500 0.7500 1
Ca2 0.2500 0.7500 0.7500 1
Ce1 0.0000 0.0000 0.0000 1
Bi1 0.0000 0.0000 0.5000 1
O1 0.0334 0.0591 0.2559 1
O2 0.0537 0.7444 0.0426 1
O3 0.2432 0.0400 0.5641 1
```

Principal peaks in the range 2θ from 10° to 90°, low angle first:
21.1 deg, d 4.208, I 73, (2 0 0)
30.0 deg, d 2.976, I 100, (2 0 2)
37.0 deg, d 2.430, I 12, (2 2 2)
43.0 deg, d 2.104, I 28, (4 0 0)
48.4 deg, d 1.882, I 35, (2 0 4)
53.3 deg, d 1.718, I 48, (2 2 4)
62.4 deg, d 1.488, I 16, (4 4 0)
86.5 deg, d 1.125, I 16, (6 2 4)